The following is a calculated powder diffraction line list of K2LiNdBr6. It was derived from a cell relaxed with GGA-PBE, using Cu Ka.
Intensities are scaled so that the largest is 100.

Structural model:
```
K2LiNdBr6
1.0
0.0000 5.5994 5.5994
5.5994 0.0000 5.5994
5.5994 5.5994 0.0000
K Li Nd Br
2 1 1 6
Cartesian
2.7997 2.7997 2.7997
8.3991 8.3991 8.3991
0.0000 0.0000 0.0000
5.5994 5.5994 5.5994
5.5994 5.5994 2.7269
5.5994 2.7269 5.5994
8.4719 5.5994 5.5994
2.7269 5.5994 5.5994
5.5994 8.4719 5.5994
5.5994 5.5994 8.4719
```

Largest 12 diffraction maxima, low angle first, 10 to 90 degrees two-theta:
2θ = 13.70°, intensity 27; 2θ = 15.83°, intensity 56; 2θ = 26.40°, intensity 27; 2θ = 27.59°, intensity 69; 2θ = 31.97°, intensity 100; 2θ = 34.92°, intensity 18; 2θ = 35.86°, intensity 30; 2θ = 45.84°, intensity 71; 2θ = 54.34°, intensity 28; 2θ = 56.97°, intensity 24; 2θ = 76.01°, intensity 30; 2θ = 84.83°, intensity 23



The following is a calculated powder diffraction line list of UAs2H6O11. It was derived from a cell relaxed with GGA-PBE, using Cu Ka.
Intensities are scaled so that the largest is 100.

Structural model:
```
UAs2H6O11
1.0
6.6804 -4.5557 0.0000
6.6804 4.5557 0.0000
-5.1217 0.0000 7.5268
U As H O
2 4 12 22
Cartesian
2.8392 3.1169 5.6451
5.4000 -3.1169 1.8817
3.8663 0.0058 0.4328
1.3054 -0.0058 4.1962
6.9337 0.0058 3.3306
4.3729 -0.0058 7.0940
2.0816 0.9069 1.6410
4.8364 2.9950 2.4482
5.9636 2.9950 1.3152
0.5903 0.9596 6.9088
-0.4793 -0.9069 5.4044
5.0880 0.9596 4.3814
3.1511 -0.9596 3.1454
8.7184 0.9069 2.1224
7.6489 -0.9596 0.6180
2.2756 -2.9950 6.2116
3.4027 -2.9950 5.0785
6.1576 -0.9069 5.8857
5.4000 3.5562 1.8817
3.4080 3.1309 3.9269
2.8159 1.2518 1.0299
0.8736 0.5689 2.6430
2.2703 3.1309 7.3632
1.3967 1.2445 5.3629
-1.6873 -0.5689 6.4064
5.4113 0.8089 0.3259
0.2550 -1.2518 4.7933
4.2816 1.2445 5.9273
5.3887 0.8089 3.4375
2.8504 -0.8089 4.0893
3.9576 -1.2445 1.5995
7.9841 1.2518 2.7334
2.8279 -0.8089 7.2008
9.9264 0.5689 1.1204
6.8424 -1.2445 2.1639
5.9689 -3.1309 0.1635
7.3656 -0.5689 4.8838
5.4233 -1.2518 6.4968
4.8311 -3.1309 3.5999
2.8392 -3.5562 5.6451
```

Largest 12 diffraction maxima, low angle first, 10 to 90 degrees two-theta:
2θ = 13.82°, intensity 96; 2θ = 19.70°, intensity 100; 2θ = 20.14°, intensity 49; 2θ = 22.29°, intensity 28; 2θ = 22.82°, intensity 41; 2θ = 23.80°, intensity 31; 2θ = 25.34°, intensity 34; 2θ = 26.10°, intensity 53; 2θ = 30.53°, intensity 37; 2θ = 30.70°, intensity 33; 2θ = 33.88°, intensity 27; 2θ = 37.24°, intensity 27



The following is a calculated powder diffraction line list of Rb2HgAsF6. It was derived from a cell relaxed with GGA-PBE, using Cu Ka.
Intensities are scaled so that the largest is 100.

Structural model:
```
Rb2HgAsF6
1.0
0.0000 4.7112 4.7112
4.7112 0.0000 4.7112
4.7112 4.7112 0.0000
Rb Hg As F
2 1 1 6
Cartesian
2.3556 2.3556 2.3556
7.0668 7.0668 7.0668
0.0000 0.0000 0.0000
4.7112 4.7112 4.7112
4.7112 4.7112 2.7188
4.7112 2.7188 4.7112
6.7036 4.7112 4.7112
2.7188 4.7112 4.7112
4.7112 6.7036 4.7112
4.7112 4.7112 6.7036
```

Largest 12 diffraction maxima, low angle first, 10 to 90 degrees two-theta:
2θ = 16.29°, intensity 9; 2θ = 18.84°, intensity 14; 2θ = 26.76°, intensity 100; 2θ = 31.49°, intensity 13; 2θ = 38.21°, intensity 34; 2θ = 41.79°, intensity 10; 2θ = 47.26°, intensity 40; 2θ = 55.14°, intensity 21; 2θ = 62.32°, intensity 21; 2θ = 69.06°, intensity 7; 2θ = 75.51°, intensity 23; 2θ = 87.93°, intensity 11



The following is a calculated powder diffraction line list of NaScGeP2SO12. It was derived from a cell relaxed with GGA-PBE, using Cu Ka.
Intensities are scaled so that the largest is 100.

Structural model:
```
NaScGeP2SO12
1.0
7.4946 -4.2862 0.0000
7.4946 4.2862 0.0000
-4.8151 0.0000 7.4771
Na Sc Ge P S O
2 2 2 4 2 24
Cartesian
5.0870 2.2044 3.7385
7.4946 -2.2044 0.0000
4.9367 2.2114 0.4847
2.5292 -2.2114 4.2233
5.1197 2.1583 7.0788
7.5272 -2.1583 3.3403
-2.0396 0.8589 5.6407
0.3679 -0.8589 1.9022
7.5016 0.3420 5.6198
9.9091 -0.3420 1.8813
2.3064 0.9490 5.6159
4.7139 -0.9490 1.8774
0.2350 0.7132 2.0454
-1.3731 1.4446 6.8586
1.6937 1.5641 4.3845
6.4785 2.8095 1.7373
-2.1725 -0.7132 5.7839
8.7315 3.2259 0.5812
1.5199 1.1520 6.8200
3.6562 1.5975 5.7240
4.8847 0.4974 1.7296
1.0345 -1.4446 3.1200
2.4771 -0.4974 5.4681
4.1012 -1.5641 0.6460
6.2043 1.2172 5.7964
3.9274 -1.1520 3.0815
9.6538 0.5376 0.5934
8.7013 1.2709 5.4804
6.0637 -1.5975 1.9855
7.2463 -0.5376 4.3319
10.1957 0.4908 3.1050
8.6118 -1.2172 2.0579
4.0710 -2.8095 5.4759
7.7881 -0.4908 6.8436
11.1088 -1.2709 1.7419
6.3239 -3.2259 4.3197
```

Largest 12 diffraction maxima, low angle first, 10 to 90 degrees two-theta:
2θ = 14.36°, intensity 30; 2θ = 19.71°, intensity 32; 2θ = 20.01°, intensity 18; 2θ = 20.58°, intensity 43; 2θ = 20.72°, intensity 22; 2θ = 23.59°, intensity 51; 2θ = 23.98°, intensity 100; 2θ = 28.96°, intensity 31; 2θ = 31.33°, intensity 33; 2θ = 31.76°, intensity 28; 2θ = 31.98°, intensity 43; 2θ = 36.22°, intensity 22



The following is a calculated powder diffraction line list of Mg5Si9. It was derived from a cell relaxed with GGA-PBE, using Cu Ka.
Intensities are scaled so that the largest is 100.

Structural model:
```
Mg5Si9
1.0
5.5024 0.0000 0.0000
-2.4585 6.8177 0.0000
-1.2527 -2.0618 13.0584
Mg Si
10 18
Cartesian
0.0000 0.0000 0.0000
-1.8231 2.3432 6.6421
-0.7303 3.2390 3.8693
0.0479 -0.1563 10.6472
-0.9284 4.8123 8.5282
0.4224 5.1428 1.0616
1.5936 2.3182 1.8157
1.0056 3.5266 6.6888
2.7353 1.4946 9.4378
4.2039 -0.5372 7.5102
-1.9284 1.1879 12.1911
-0.3031 0.6473 5.1473
-1.9273 4.9613 5.7900
-1.8005 3.5561 11.3631
-0.0416 1.6943 8.5626
1.7038 -0.1329 2.9958
1.5644 0.5307 7.0309
1.5019 -1.2592 12.8559
0.3855 2.9725 10.6229
0.2491 5.7638 5.0031
1.8563 1.7756 4.6458
1.1819 1.6637 12.5354
2.7883 -0.9026 10.8077
1.9860 4.2923 4.0079
4.5313 0.0498 2.8078
2.0426 4.3387 9.5899
3.1863 4.7656 1.8780
4.3822 2.2077 1.3616
```

Largest 12 diffraction maxima, low angle first, 10 to 90 degrees two-theta:
2θ = 35.18°, intensity 75; 2θ = 36.18°, intensity 73; 2θ = 36.27°, intensity 39; 2θ = 36.83°, intensity 78; 2θ = 37.21°, intensity 100; 2θ = 37.61°, intensity 37; 2θ = 38.68°, intensity 29; 2θ = 38.86°, intensity 91; 2θ = 39.58°, intensity 97; 2θ = 41.92°, intensity 47; 2θ = 43.54°, intensity 39; 2θ = 45.04°, intensity 30